This entry pairs a crystal structure of Cu6Te2Mo2H2Cl4O15 with its calculated X-ray powder pattern. Radiation: Cu Kα (weighted mean of Kα1 and Kα2). Structure: a GGA+U-relaxed structure.
Intensities are scaled so that the largest is 100.

Crystal structure
```
data_Cu6Te2Mo2H2Cl4O15
_chemical_formula_sum 'Cu6 Te2 Mo2 H2 Cl4 O15'
_cell_length_a 6.2236
_cell_length_b 6.4592
_cell_length_c 12.1287
_cell_angle_alpha 81.30
_cell_angle_beta 85.30
_cell_angle_gamma 86.05
_symmetry_space_group_name_H-M 'P 1'
_symmetry_Int_Tables_number 1
loop_
_symmetry_equiv_pos_as_xyz
'x,y,z'
loop_
_atom_site_label
_atom_site_type_symbol
_atom_site_fract_x
_atom_site_fract_y
_atom_site_fract_z
Cu1 Cu 0.0000 0.0000 0.0000
Cu2 Cu 0.0073 0.5140 0.7995
Cu3 Cu 0.3298 0.3657 0.9995
Cu4 Cu 0.3525 0.5701 0.2119
Cu5 Cu 0.6695 0.4321 0.4112
Cu6 Cu 0.6808 0.9358 0.2109
Te1 Te 0.1733 0.0817 0.2638
Te2 Te 0.5073 0.8542 0.9460
Mo1 Mo 0.1896 0.5086 0.4986
Mo2 Mo 0.4921 0.4203 0.7136
H1 H 0.2546 0.0254 0.5108
H2 H 0.3349 0.0744 0.6221
Cl1 Cl 0.6841 0.0028 0.3856
Cl2 Cl 0.8232 0.5127 0.2389
Cl3 Cl 0.8548 0.4237 0.9706
Cl4 Cl 0.9983 0.9326 0.8259
O1 O 0.1518 0.7784 0.4585
O2 O 0.1791 0.5017 0.6608
O3 O 0.2397 0.1281 0.5631
O4 O 0.2974 0.0755 0.9806
O5 O 0.3127 0.4859 0.8443
O6 O 0.3246 0.2954 0.1631
O7 O 0.3569 0.6413 0.0477
O8 O 0.3692 0.4451 0.3673
O9 O 0.3832 0.8604 0.2299
O10 O 0.5107 0.4662 0.5522
O11 O 0.5375 0.1501 0.7457
O12 O 0.7058 0.9232 0.0461
O13 O 0.7297 0.5441 0.7355
O14 O 0.9398 0.4103 0.4746
O15 O 0.9748 0.0139 0.1636
```

The 6 most intense peaks (5° ≤ 2θ ≤ 70°), by angle:
hkl 0 0 1, 2θ 7.4, 11.958 Å, rel. 87
hkl 0 1 1, 2θ 14.8, 5.998 Å, rel. 57
hkl 0 1 -1, 2θ 16.7, 5.312 Å, rel. 77
hkl 0 2 0, 2θ 28.0, 3.184 Å, rel. 100
hkl 2 0 1, 2θ 29.3, 3.052 Å, rel. 61
hkl 1 0 4, 2θ 32.3, 2.771 Å, rel. 51

***

This entry pairs a crystal structure of V2Cu3PbCl2O8 with its calculated X-ray powder pattern. Radiation: Cu Kα (weighted mean of Kα1 and Kα2). Structure: a GGA+U-relaxed structure.
Intensities are scaled so that the largest is 100.

Crystal structure
```
data_V2Cu3PbCl2O8
_chemical_formula_sum 'V8 Cu12 Pb4 Cl8 O32'
_cell_length_a 9.1108
_cell_length_b 11.2402
_cell_length_c 9.4047
_cell_angle_alpha 90.00
_cell_angle_beta 90.00
_cell_angle_gamma 90.00
_symmetry_space_group_name_H-M 'I b a m'
_symmetry_Int_Tables_number 72
_symmetry_space_group_name_Hall '-I 2 2c'
loop_
_atom_site_label
_atom_site_type_symbol
_atom_site_fract_x
_atom_site_fract_y
_atom_site_fract_z
V1 V 0.0000 0.2029 0.2500
Cu1 Cu 0.0000 0.0000 0.0000
Cu2 Cu 0.2493 0.3277 0.0000
Pb1 Pb 0.0000 0.5000 0.2500
Cl1 Cl 0.1824 0.4128 0.5000
O1 O 0.0998 0.1084 0.3669
O2 O 0.1146 0.2966 0.1560
```

The 6 most intense peaks (5° ≤ 2θ ≤ 70°), by angle:
hkl 1 1 2, 2θ 22.7, 3.917 Å, rel. 79
hkl 2 2 0, 2θ 25.2, 3.539 Å, rel. 38
hkl 2 0 2, 2θ 27.3, 3.272 Å, rel. 100
hkl 1 3 2, 2θ 32.1, 2.790 Å, rel. 83
hkl 3 1 2, 2θ 36.1, 2.488 Å, rel. 47
hkl 3 3 2, 2θ 42.9, 2.109 Å, rel. 44

***

This entry pairs a crystal structure of V2Cu3PbCl2O8 with its calculated X-ray powder pattern. Radiation: Cu Kα (weighted mean of Kα1 and Kα2). Structure: a GGA+U-relaxed structure.
Intensities are scaled so that the largest is 100.

Crystal structure
```
data_V2Cu3PbCl2O8
_chemical_formula_sum 'V8 Cu12 Pb4 Cl8 O32'
_cell_length_a 10.1736
_cell_length_b 10.7042
_cell_length_c 9.7097
_cell_angle_alpha 90.00
_cell_angle_beta 90.00
_cell_angle_gamma 90.00
_symmetry_space_group_name_H-M 'I b a m'
_symmetry_Int_Tables_number 72
_symmetry_space_group_name_Hall '-I 2 2c'
loop_
_atom_site_label
_atom_site_type_symbol
_atom_site_fract_x
_atom_site_fract_y
_atom_site_fract_z
V1 V 0.0000 0.1876 0.2500
Cu1 Cu 0.0000 0.0000 0.0000
Cu2 Cu 0.2004 0.2434 0.0000
Pb1 Pb 0.0000 0.5000 0.2500
Cl1 Cl 0.1613 0.4183 0.5000
O1 O 0.0870 0.0949 0.3673
O2 O 0.1082 0.2877 0.1632
```

The 6 most intense peaks (5° ≤ 2θ ≤ 70°), by angle:
hkl 2 0 0, 2θ 17.4, 5.087 Å, rel. 61
hkl 1 1 2, 2θ 21.9, 4.055 Å, rel. 73
hkl 2 2 0, 2θ 24.1, 3.687 Å, rel. 63
hkl 2 0 2, 2θ 25.4, 3.512 Å, rel. 100
hkl 1 3 2, 2θ 32.4, 2.767 Å, rel. 83
hkl 3 3 2, 2θ 41.2, 2.193 Å, rel. 62

***

This entry pairs a crystal structure of Dy2MgMo2Cl2O8 with its calculated X-ray powder pattern. Radiation: Cu Kα (weighted mean of Kα1 and Kα2). Structure: a GGA+U-relaxed structure.
Intensities are scaled so that the largest is 100.

Crystal structure
```
data_Dy2MgMo2Cl2O8
_chemical_formula_sum 'Dy4 Mg2 Mo4 Cl4 O16'
_cell_length_a 11.4365
_cell_length_b 6.8395
_cell_length_c 7.1481
_cell_angle_alpha 90.00
_cell_angle_beta 106.27
_cell_angle_gamma 90.00
_symmetry_space_group_name_H-M 'C 1 2 1'
_symmetry_Int_Tables_number 5
loop_
_symmetry_equiv_pos_as_xyz
'x,y,z'
'-x,y,-z'
'x+1/2,y+1/2,z'
'-x+1/2,y+1/2,-z'
loop_
_atom_site_label
_atom_site_type_symbol
_atom_site_fract_x
_atom_site_fract_y
_atom_site_fract_z
Dy1 Dy 0.2222 0.0000 0.3758
Mg1 Mg 0.0000 0.2660 0.5000
Mo1 Mo 0.1479 0.9863 0.7917
Cl1 Cl 0.0574 0.5161 0.2984
O1 O 0.0215 0.0401 0.3025
O2 O 0.1806 0.2093 0.6429
O3 O 0.1910 0.7993 0.6359
O4 O 0.2029 0.0089 0.0519
```

The 6 most intense peaks (5° ≤ 2θ ≤ 70°), by angle:
hkl 0 0 1, 2θ 12.9, 6.862 Å, rel. 87
hkl 1 1 0, 2θ 15.3, 5.805 Å, rel. 45
hkl 2 0 0, 2θ 16.1, 5.489 Å, rel. 84
hkl 0 2 0, 2θ 26.0, 3.421 Å, rel. 100
hkl 3 1 0, 2θ 27.6, 3.227 Å, rel. 74
hkl 1 1 -2, 2θ 28.2, 3.166 Å, rel. 75

***

This entry pairs a crystal structure of Dy2MgMo2Cl2O8 with its calculated X-ray powder pattern. Radiation: Cu Kα (weighted mean of Kα1 and Kα2). Structure: a GGA+U-relaxed structure.
Intensities are scaled so that the largest is 100.

Crystal structure
```
data_Dy2MgMo2Cl2O8
_chemical_formula_sum 'Dy2 Mg1 Mo2 Cl2 O8'
_cell_length_a 6.4802
_cell_length_b 6.4890
_cell_length_c 6.9555
_cell_angle_alpha 73.23
_cell_angle_beta 73.21
_cell_angle_gamma 66.48
_symmetry_space_group_name_H-M 'P 1'
_symmetry_Int_Tables_number 1
loop_
_symmetry_equiv_pos_as_xyz
'x,y,z'
loop_
_atom_site_label
_atom_site_type_symbol
_atom_site_fract_x
_atom_site_fract_y
_atom_site_fract_z
Dy1 Dy 0.0000 0.0000 0.0000
Dy2 Dy 0.4781 0.4778 0.7847
Mg1 Mg 0.9336 0.5453 0.3927
Mo1 Mo 0.6064 0.5889 0.1598
Mo2 Mo 0.8888 0.8723 0.6250
Cl1 Cl 0.1949 0.2826 0.1415
Cl2 Cl 0.1970 0.2824 0.6432
O1 O 0.0018 0.8520 0.3492
O2 O 0.1494 0.7753 0.7386
O3 O 0.3646 0.7481 0.0236
O4 O 0.6270 0.4760 0.4357
O5 O 0.7033 0.3285 0.0463
O6 O 0.7188 0.6826 0.6667
O7 O 0.7296 0.1132 0.7618
O8 O 0.7951 0.7595 0.1186
```

The 6 most intense peaks (5° ≤ 2θ ≤ 70°), by angle:
hkl 0 0 1, 2θ 13.6, 6.528 Å, rel. 60
hkl 1 1 0, 2θ 17.4, 5.090 Å, rel. 69
hkl 1 -1 0, 2θ 25.1, 3.554 Å, rel. 100
hkl 1 1 -1, 2θ 25.6, 3.474 Å, rel. 74
hkl 1 0 2, 2θ 28.6, 3.123 Å, rel. 83
hkl 1 2 2, 2θ 33.3, 2.690 Å, rel. 68

***

This entry pairs a crystal structure of DyMoClO4 with its calculated X-ray powder pattern. Radiation: Cu Kα (weighted mean of Kα1 and Kα2). Structure: a GGA+U-relaxed structure.
Intensities are scaled so that the largest is 100.

Crystal structure
```
data_DyMoClO4
_chemical_formula_sum 'Dy4 Mo4 Cl4 O16'
_cell_length_a 10.3113
_cell_length_b 7.3297
_cell_length_c 6.9271
_cell_angle_alpha 90.00
_cell_angle_beta 107.26
_cell_angle_gamma 90.00
_symmetry_space_group_name_H-M 'C 1 2/m 1'
_symmetry_Int_Tables_number 12
loop_
_symmetry_equiv_pos_as_xyz
'x,y,z'
'-x,-y,-z'
'-x,y,-z'
'x,-y,z'
'x+1/2,y+1/2,z'
'-x+1/2,-y+1/2,-z'
'-x+1/2,y+1/2,-z'
'x+1/2,-y+1/2,z'
loop_
_atom_site_label
_atom_site_type_symbol
_atom_site_fract_x
_atom_site_fract_y
_atom_site_fract_z
Dy1 Dy 0.2218 0.0000 0.1127
Mo1 Mo 0.1378 0.5000 0.2690
Cl1 Cl 0.0105 0.0000 0.7675
O1 O 0.0428 0.5000 0.7976
O2 O 0.1995 0.3094 0.1529
O3 O 0.2067 0.5000 0.5354
```

The 6 most intense peaks (5° ≤ 2θ ≤ 70°), by angle:
hkl 0 0 1, 2θ 13.4, 6.615 Å, rel. 63
hkl 2 0 0, 2θ 18.0, 4.923 Å, rel. 53
hkl 0 2 0, 2θ 24.3, 3.665 Å, rel. 100
hkl 2 0 1, 2θ 25.6, 3.485 Å, rel. 54
hkl 1 1 -2, 2θ 28.5, 3.129 Å, rel. 56
hkl 3 1 -1, 2θ 29.2, 3.058 Å, rel. 59

***

This entry pairs a crystal structure of DyWClO4 with its calculated X-ray powder pattern. Radiation: Cu Kα (weighted mean of Kα1 and Kα2). Structure: a GGA+U-relaxed structure.
Intensities are scaled so that the largest is 100.

Crystal structure
```
data_DyWClO4
_chemical_formula_sum 'Dy4 W4 Cl4 O16'
_cell_length_a 10.3938
_cell_length_b 7.3705
_cell_length_c 6.9820
_cell_angle_alpha 90.00
_cell_angle_beta 107.61
_cell_angle_gamma 90.00
_symmetry_space_group_name_H-M 'C 1 2/m 1'
_symmetry_Int_Tables_number 12
loop_
_symmetry_equiv_pos_as_xyz
'x,y,z'
'-x,-y,-z'
'-x,y,-z'
'x,-y,z'
'x+1/2,y+1/2,z'
'-x+1/2,-y+1/2,-z'
'-x+1/2,y+1/2,-z'
'x+1/2,-y+1/2,z'
loop_
_atom_site_label
_atom_site_type_symbol
_atom_site_fract_x
_atom_site_fract_y
_atom_site_fract_z
Dy1 Dy 0.2225 0.0000 0.1187
W1 W 0.1367 0.5000 0.2660
Cl1 Cl 0.0115 0.0000 0.7715
O1 O 0.0456 0.5000 0.8050
O2 O 0.1995 0.3080 0.1542
O3 O 0.2036 0.5000 0.5351
```

The 6 most intense peaks (5° ≤ 2θ ≤ 70°), by angle:
hkl 2 0 0, 2θ 17.9, 4.953 Å, rel. 38
hkl 0 2 0, 2θ 24.1, 3.685 Å, rel. 100
hkl 2 0 1, 2θ 25.5, 3.499 Å, rel. 58
hkl 1 1 -2, 2θ 28.3, 3.153 Å, rel. 61
hkl 3 1 -1, 2θ 29.0, 3.084 Å, rel. 58
hkl 3 1 -2, 2θ 34.2, 2.623 Å, rel. 41

***

This entry pairs a crystal structure of ErMoClO4 with its calculated X-ray powder pattern. Radiation: Cu Kα (weighted mean of Kα1 and Kα2). Structure: a GGA+U-relaxed structure.
Intensities are scaled so that the largest is 100.

Crystal structure
```
data_ErMoClO4
_chemical_formula_sum 'Er4 Mo4 Cl4 O16'
_cell_length_a 10.2489
_cell_length_b 7.2732
_cell_length_c 6.8936
_cell_angle_alpha 90.00
_cell_angle_beta 107.44
_cell_angle_gamma 90.00
_symmetry_space_group_name_H-M 'C 1 2/m 1'
_symmetry_Int_Tables_number 12
loop_
_symmetry_equiv_pos_as_xyz
'x,y,z'
'-x,-y,-z'
'-x,y,-z'
'x,-y,z'
'x+1/2,y+1/2,z'
'-x+1/2,-y+1/2,-z'
'-x+1/2,y+1/2,-z'
'x+1/2,-y+1/2,z'
loop_
_atom_site_label
_atom_site_type_symbol
_atom_site_fract_x
_atom_site_fract_y
_atom_site_fract_z
Er1 Er 0.2216 0.0000 0.1125
Mo1 Mo 0.1378 0.5000 0.2691
Cl1 Cl 0.0102 0.0000 0.7679
O1 O 0.0442 0.5000 0.7992
O2 O 0.2004 0.3079 0.1536
O3 O 0.2066 0.5000 0.5372
```

The 6 most intense peaks (5° ≤ 2θ ≤ 70°), by angle:
hkl 0 0 1, 2θ 13.5, 6.577 Å, rel. 66
hkl 2 0 0, 2θ 18.1, 4.889 Å, rel. 55
hkl 0 2 0, 2θ 24.5, 3.637 Å, rel. 100
hkl 2 0 1, 2θ 25.8, 3.459 Å, rel. 54
hkl 1 1 -2, 2θ 28.7, 3.113 Å, rel. 57
hkl 3 1 -1, 2θ 29.4, 3.040 Å, rel. 60

***

This entry pairs a crystal structure of ErWClO4 with its calculated X-ray powder pattern. Radiation: Cu Kα (weighted mean of Kα1 and Kα2). Structure: a GGA+U-relaxed structure.
Intensities are scaled so that the largest is 100.

Crystal structure
```
data_ErWClO4
_chemical_formula_sum 'Er4 W4 Cl4 O16'
_cell_length_a 10.3290
_cell_length_b 7.3204
_cell_length_c 6.9640
_cell_angle_alpha 90.00
_cell_angle_beta 107.91
_cell_angle_gamma 90.00
_symmetry_space_group_name_H-M 'C 1 2/m 1'
_symmetry_Int_Tables_number 12
loop_
_symmetry_equiv_pos_as_xyz
'x,y,z'
'-x,-y,-z'
'-x,y,-z'
'x,-y,z'
'x+1/2,y+1/2,z'
'-x+1/2,-y+1/2,-z'
'-x+1/2,y+1/2,-z'
'x+1/2,-y+1/2,z'
loop_
_atom_site_label
_atom_site_type_symbol
_atom_site_fract_x
_atom_site_fract_y
_atom_site_fract_z
Er1 Er 0.2224 0.0000 0.1194
W1 W 0.1371 0.5000 0.2656
Cl1 Cl 0.0113 0.0000 0.7729
O1 O 0.0469 0.5000 0.8073
O2 O 0.2009 0.3062 0.1555
O3 O 0.2045 0.5000 0.5363
```

The 6 most intense peaks (5° ≤ 2θ ≤ 70°), by angle:
hkl 2 0 0, 2θ 18.1, 4.914 Å, rel. 40
hkl 0 2 0, 2θ 24.3, 3.660 Å, rel. 100
hkl 2 0 1, 2θ 25.7, 3.470 Å, rel. 58
hkl 1 1 -2, 2θ 28.4, 3.143 Å, rel. 62
hkl 3 1 -1, 2θ 29.1, 3.068 Å, rel. 58
hkl 3 1 -2, 2θ 34.3, 2.615 Å, rel. 42